Structure and computed powder X-ray diffraction pattern of Np2FeO11 (a structure optimized by DFT (PBE+U); Cu Kα, 1.54184 Å).
Peak positions follow from Bragg's law for the DFT cell and can differ from measured ones.

Structure:
abc: 8.5296 8.5296 8.5296
angles: 117.19 106.44 105.07
Atoms (fractional coordinates):
Np 0.2241 0.1875 0.4116
Np 0.2759 0.6875 0.9634
Np 0.7241 0.3125 0.0366
Np 0.7759 0.8125 0.5884
Fe 0.2500 0.2500 0.0000
Fe 0.7500 0.7500 0.0000
O 0.0000 0.5000 0.5000
O 0.0233 0.0248 0.7848
O 0.0414 0.6347 0.9259
O 0.1441 0.4526 0.5967
O 0.2089 0.1347 0.5933
O 0.2399 0.2384 0.2152
O 0.2601 0.4752 0.9985
O 0.2911 0.8845 0.9259
O 0.3559 0.9526 0.3085
O 0.4586 0.3845 0.5933
O 0.4767 0.2616 0.0015
O 0.5000 0.0000 0.5000
O 0.5233 0.7384 0.9985
O 0.5414 0.6155 0.4067
O 0.6441 0.0474 0.6915
O 0.7089 0.1155 0.0741
O 0.7399 0.5248 0.0015
O 0.7601 0.7616 0.7848
O 0.7911 0.8653 0.4067
O 0.8559 0.5474 0.4033
O 0.9586 0.3653 0.0741
O 0.9767 0.9752 0.2152

Largest 8 diffraction maxima, sorted by position, 10° ≤ 2θ ≤ 80°:
17.09°, I = 96
17.37°, I = 69
23.45°, I = 100
24.46°, I = 99
26.40°, I = 40
26.59°, I = 59
42.50°, I = 64
49.57°, I = 32